Theoretical X-ray diffraction stick pattern of PaFeSe for Cu Kα, 1.54184 Å, from the PBE geometry in Alexandria.
Kinematic intensities with the Lorentz-polarization factor, no thermal factor.

The 8 most intense peaks (2θ = 10–90°), sorted by position:
2θ 14.4, I 40.9; 2θ 25.9, I 58.3; 2θ 28.3, I 91.0; 2θ 33.0, I 27.0; 2θ 36.4, I 100.0; 2θ 37.3, I 39.1; 2θ 43.5, I 37.0; 2θ 50.7, I 36.3

```
data_PaFeSe
_space_group_name_H-M_alt 'P 1 21/m 1'
_space_group_IT_number 11
_space_group_name_Hall '-P 2yb'
_cell_length_a 4.847
_cell_length_b 4.163
_cell_length_c 6.165
_cell_angle_alpha 90.00
_cell_angle_beta 95.90
_cell_angle_gamma 90.00
loop_
_atom_site_label
_atom_site_fract_x
_atom_site_fract_y
_atom_site_fract_z
Pa1 0.249 0.250 0.341
Fe1 0.313 0.750 0.685
Se1 0.188 0.250 0.831
```